For Ac2ZnBiO6, a DFT-relaxed cell (GGA-PBE, Alexandria) gives the simulated XRD peak list in this record (Cu Kα (weighted mean of Kα1 and Kα2)).
No peak broadening, texture or thermal motion is included.

Top 6 peaks for 2θ from 10° to 90°, low angle first:
- (2 0 -1), 2θ = 18.22°, intensity 17
- (1 1 1), 2θ = 29.31°, intensity 73
- (3 1 -1), 2θ = 29.91°, intensity 100
- (0 2 0), 2θ = 30.28°, intensity 33
- (2 2 -2), 2θ = 43.04°, intensity 33
- (4 2 0), 2θ = 52.41°, intensity 18

Structure:
```
data_Ac2ZnBiO6
_cell_length_a 10.3833
_cell_length_b 5.9043
_cell_length_c 5.9871
_cell_angle_alpha 90.00
_cell_angle_beta 123.50
_cell_angle_gamma 90.00
_symmetry_space_group_name_H-M 'C 1 2/m 1'
_symmetry_Int_Tables_number 12
_symmetry_space_group_name_Hall '-C 2y'
loop_
_atom_site_label
_atom_site_fract_x
_atom_site_fract_y
_atom_site_fract_z
_atom_site_occupancy
Ac1 0.2459 0.0000 0.2256 1
Zn1 0.0000 0.5000 0.0000 1
Bi1 0.0000 0.0000 0.5000 1
O1 0.0636 0.2572 0.8234 1
O2 0.2476 0.5000 0.3537 1
```